Starting from a crystal structure in Alexandria, relaxed with PBE+U, the powder X-ray diffraction pattern of Na2FeH4S2O10 was calculated for Cu Kα X-rays.
Kinematic intensities with the Lorentz-polarization factor, no thermal factor.

Structure:
```
Na2FeH4S2O10
1.0
5.823 0.000 0.000
0.000 13.124 0.000
-1.532 0.000 5.322
Na Fe H S O
4 2 8 4 20
Direct
0.083 0.117 0.260 Na
0.083 0.383 0.760 Na
0.917 0.617 0.240 Na
0.917 0.883 0.740 Na
0.500 0.000 0.000 Fe
0.500 0.500 0.500 Fe
0.178 0.153 0.816 H
0.178 0.347 0.316 H
0.409 0.203 0.000 H
0.409 0.297 0.500 H
0.591 0.703 0.500 H
0.591 0.797 0.000 H
0.822 0.653 0.684 H
0.822 0.847 0.184 H
0.276 0.618 0.926 S
0.276 0.882 0.426 S
0.724 0.118 0.574 S
0.724 0.382 0.074 S
0.070 0.689 0.900 O
0.070 0.811 0.400 O
0.238 0.559 0.684 O
0.238 0.941 0.184 O
0.269 0.543 0.131 O
0.269 0.957 0.631 O
0.312 0.140 0.971 O
0.312 0.360 0.471 O
0.495 0.172 0.513 O
0.495 0.328 0.013 O
0.505 0.672 0.987 O
0.505 0.828 0.487 O
0.688 0.640 0.529 O
0.688 0.860 0.029 O
0.731 0.043 0.369 O
0.731 0.457 0.869 O
0.762 0.059 0.816 O
0.762 0.441 0.316 O
0.930 0.189 0.600 O
0.930 0.311 0.100 O
```

The 10 most intense peaks (10 to 80 degrees two-theta), by intensity:
29.50 deg, d 3.028, intensity 100, (1 2 1)
26.37 deg, d 3.379, intensity 96, (0 3 1)
13.49 deg, d 6.562, intensity 91, (0 2 0)
26.99 deg, d 3.303, intensity 63, (1 1 1)
33.04 deg, d 2.711, intensity 60, (1 0 -2)
28.35 deg, d 3.148, intensity 55, (1 3 -1)
32.50 deg, d 2.755, intensity 53, (2 1 -1)
23.86 deg, d 3.730, intensity 46, (1 2 -1)
20.86 deg, d 4.258, intensity 42, (1 2 0)
25.85 deg, d 3.446, intensity 38, (1 3 0)